This entry pairs a crystal structure of Bi2Sb2Te3Se3 with its theoretical powder X-ray diffraction pattern. Radiation: Cu Kα (weighted mean of Kα1 and Kα2). Structure: DFT lattice parameters and positions (GGA-PBE).

a b c (Å): 20.8584 20.8584 20.8584
angles (deg): 11.71 11.71 11.71
Fractional coordinates of all 10 atoms:
Bi 0.0000 0.0000 0.0000
Bi 0.4972 0.4972 0.4972
Sb 0.3927 0.3927 0.3927
Sb 0.8901 0.8901 0.8901
Te 0.0872 0.0872 0.0872
Te 0.3040 0.3040 0.3040
Te 0.5848 0.5848 0.5848
Se 0.1944 0.1944 0.1944
Se 0.6969 0.6969 0.6969
Se 0.8059 0.8059 0.8059

The 10 most intense peaks (2θ from 10° to 90°), in order of rising 2θ:
17.12°, rel. 16
24.32°, rel. 9
28.15°, rel. 100
33.52°, rel. 15
37.88°, rel. 28
42.49°, rel. 39
45.22°, rel. 16
51.75°, rel. 19
69.11°, rel. 16
70.22°, rel. 14

This entry pairs a crystal structure of K2Ta15O32 with its theoretical powder X-ray diffraction pattern. Radiation: Cu Kα (weighted mean of Kα1 and Kα2). Structure: DFT lattice parameters and positions (GGA-PBE).

a b c (Å): 12.9365 12.9365 12.9365
angles (deg): 35.39 35.39 35.39
Fractional coordinates of all 49 atoms:
K 0.1410 0.1410 0.1410
K 0.8590 0.8590 0.8590
Ta 0.0263 0.5718 0.6997
Ta 0.0523 0.8159 0.2293
Ta 0.1841 0.7707 0.9477
Ta 0.2293 0.0523 0.8159
Ta 0.3003 0.9737 0.4282
Ta 0.3625 0.3625 0.3625
Ta 0.4282 0.3003 0.9737
Ta 0.5000 0.5000 0.5000
Ta 0.5718 0.6997 0.0263
Ta 0.6375 0.6375 0.6375
Ta 0.6997 0.0263 0.5718
Ta 0.7707 0.9477 0.1841
Ta 0.8159 0.2293 0.0523
Ta 0.9477 0.1841 0.7707
Ta 0.9737 0.4282 0.3003
O 0.0327 0.1502 0.4464
O 0.0394 0.3011 0.8578
O 0.1422 0.9606 0.6989
O 0.1502 0.4464 0.0327
O 0.1561 0.5712 0.4568
O 0.1699 0.2583 0.5721
O 0.2583 0.5721 0.1699
O 0.2620 0.4668 0.6749
O 0.2631 0.2631 0.2631
O 0.3011 0.8578 0.0394
O 0.3251 0.7380 0.5332
O 0.4279 0.8301 0.7417
O 0.4288 0.5432 0.8439
O 0.4464 0.0327 0.1502
O 0.4568 0.1561 0.5712
O 0.4668 0.6749 0.2620
O 0.5332 0.3251 0.7380
O 0.5432 0.8439 0.4288
O 0.5536 0.9673 0.8498
O 0.5712 0.4568 0.1561
O 0.5721 0.1699 0.2583
O 0.6749 0.2620 0.4668
O 0.6989 0.1422 0.9606
O 0.7369 0.7369 0.7369
O 0.7380 0.5332 0.3251
O 0.7417 0.4279 0.8301
O 0.8301 0.7417 0.4279
O 0.8439 0.4288 0.5432
O 0.8498 0.5536 0.9673
O 0.8578 0.0394 0.3011
O 0.9606 0.6989 0.1422
O 0.9673 0.8498 0.5536

The 10 most intense peaks (2θ from 10° to 90°), in order of rising 2θ:
16.27°, rel. 66
17.85°, rel. 51
21.52°, rel. 45
27.04°, rel. 96
28.96°, rel. 52
31.77°, rel. 58
34.95°, rel. 100
37.08°, rel. 81
49.90°, rel. 80
62.52°, rel. 64

This entry pairs a crystal structure of Th3AlC3 with its theoretical powder X-ray diffraction pattern. Radiation: Cu Kα (weighted mean of Kα1 and Kα2). Structure: DFT lattice parameters and positions (GGA-PBE).

a b c (Å): 3.8125 3.8125 9.1246
angles (deg): 90.00 90.00 90.00
Fractional coordinates of all 7 atoms:
Th 0.0000 0.0000 0.0000
Th 0.5000 0.5000 0.2859
Th 0.5000 0.5000 0.7141
Al 0.0000 0.0000 0.5000
C 0.0000 0.0000 0.2759
C 0.0000 0.0000 0.7241
C 0.5000 0.5000 0.0000

The 10 most intense peaks (2θ from 10° to 90°), in order of rising 2θ:
25.32°, rel. 32
29.37°, rel. 18
30.56°, rel. 100
33.23°, rel. 56
44.93°, rel. 23
47.71°, rel. 20
52.55°, rel. 18
55.85°, rel. 17
57.72°, rel. 35
76.46°, rel. 14

This entry pairs a crystal structure of Ac2Tl2SnO2 with its theoretical powder X-ray diffraction pattern. Radiation: Cu Kα (weighted mean of Kα1 and Kα2). Structure: DFT lattice parameters and positions (GGA-PBE).

a b c (Å): 4.0728 4.0728 14.5887
angles (deg): 90.00 90.00 120.00
Fractional coordinates of all 7 atoms:
Ac 0.3333 0.6667 0.1127
Ac 0.6667 0.3333 0.8873
Tl 0.0000 0.0000 0.3026
Tl 0.0000 0.0000 0.6974
Sn 0.0000 0.0000 0.5000
O 0.3333 0.6667 0.9361
O 0.6667 0.3333 0.0639

The 10 most intense peaks (2θ from 10° to 90°), in order of rising 2θ:
25.25°, rel. 17
25.99°, rel. 100
28.10°, rel. 62
30.64°, rel. 40
31.33°, rel. 49
35.40°, rel. 36
40.11°, rel. 17
44.49°, rel. 49
45.30°, rel. 27
54.99°, rel. 47

This entry pairs a crystal structure of K4RbCd5 with its theoretical powder X-ray diffraction pattern. Radiation: Cu Kα (weighted mean of Kα1 and Kα2). Structure: DFT lattice parameters and positions (GGA-PBE).

a b c (Å): 12.0562 12.7014 5.3045
angles (deg): 90.00 90.00 90.00
Fractional coordinates of all 20 atoms:
K 0.0127 0.2500 0.2478
K 0.2500 0.0464 0.2484
K 0.2500 0.4536 0.2484
K 0.4873 0.2500 0.2478
K 0.5127 0.7500 0.7522
K 0.7500 0.5464 0.7516
K 0.7500 0.9536 0.7516
K 0.9873 0.7500 0.7522
Rb 0.2500 0.7500 0.2558
Rb 0.7500 0.2500 0.7442
Cd 0.0399 0.0451 0.7495
Cd 0.0399 0.4549 0.7495
Cd 0.2500 0.2500 0.7476
Cd 0.4601 0.0451 0.7495
Cd 0.4601 0.4549 0.7495
Cd 0.5399 0.5451 0.2505
Cd 0.5399 0.9549 0.2505
Cd 0.7500 0.7500 0.2524
Cd 0.9601 0.5451 0.2505
Cd 0.9601 0.9549 0.2505

The 10 most intense peaks (2θ from 10° to 90°), in order of rising 2θ:
18.12°, rel. 21
20.31°, rel. 50
27.85°, rel. 19
28.10°, rel. 20
29.64°, rel. 25
30.83°, rel. 100
31.28°, rel. 33
33.80°, rel. 32
39.75°, rel. 18
55.67°, rel. 22

This entry pairs a crystal structure of Bi12PbO20 with its theoretical powder X-ray diffraction pattern. Radiation: Cu Kα (weighted mean of Kα1 and Kα2). Structure: DFT lattice parameters and positions (GGA-PBE).

a b c (Å): 9.0183 9.0183 9.0183
angles (deg): 109.47 109.47 109.47
Fractional coordinates of all 33 atoms:
Bi 0.1432 0.3051 0.8070
Bi 0.1620 0.8568 0.6638
Bi 0.1930 0.4982 0.3362
Bi 0.3051 0.8070 0.1432
Bi 0.3362 0.1930 0.4982
Bi 0.4982 0.3362 0.1930
Bi 0.5018 0.6949 0.8380
Bi 0.6638 0.1620 0.8568
Bi 0.6949 0.8380 0.5018
Bi 0.8070 0.1432 0.3051
Bi 0.8380 0.5018 0.6949
Bi 0.8568 0.6638 0.1620
Pb 0.0000 0.0000 0.0000
O 0.0000 0.0000 0.2335
O 0.0000 0.0000 0.6247
O 0.0000 0.2335 0.0000
O 0.0000 0.6247 0.0000
O 0.1119 0.7508 0.3761
O 0.2335 0.0000 0.0000
O 0.2492 0.3610 0.6253
O 0.2643 0.6390 0.8881
O 0.3610 0.6253 0.2492
O 0.3753 0.3753 0.3753
O 0.3747 0.7357 0.6239
O 0.3761 0.1119 0.7508
O 0.6239 0.3747 0.7357
O 0.6247 0.0000 0.0000
O 0.6253 0.2492 0.3610
O 0.6390 0.8881 0.2643
O 0.7357 0.6239 0.3747
O 0.7508 0.3761 0.1119
O 0.7665 0.7665 0.7665
O 0.8881 0.2643 0.6390

The 10 most intense peaks (2θ from 10° to 90°), in order of rising 2θ:
27.08°, rel. 100
29.72°, rel. 26
32.16°, rel. 71
44.36°, rel. 19
51.15°, rel. 35
52.74°, rel. 21
54.30°, rel. 30
60.28°, rel. 22
76.54°, rel. 15
77.83°, rel. 15

This entry pairs a crystal structure of DyBe2SiPd2 with its theoretical powder X-ray diffraction pattern. Radiation: Cu Kα (weighted mean of Kα1 and Kα2). Structure: DFT lattice parameters and positions (GGA-PBE).

a b c (Å): 4.1226 4.1226 5.6106
angles (deg): 90.00 90.00 90.00
Fractional coordinates of all 6 atoms:
Dy 0.0000 0.0000 0.0000
Be 0.0000 0.5000 0.5000
Be 0.5000 0.0000 0.5000
Si 0.0000 0.0000 0.5000
Pd 0.5000 0.5000 0.2489
Pd 0.5000 0.5000 0.7511

The 10 most intense peaks (2θ from 10° to 90°), in order of rising 2θ:
15.80°, rel. 18
26.84°, rel. 27
30.67°, rel. 89
34.68°, rel. 18
38.83°, rel. 100
43.92°, rel. 37
60.05°, rel. 55
72.50°, rel. 15
75.17°, rel. 13
77.32°, rel. 13